Starting from a PBE-relaxed structure, the powder diffractogram of Th2Hg was simulated for Cu Kα X-rays.

Peak list (8 most intense, 5 to 70 degrees two-theta, by intensity)
2theta  intensity
29.8  100
36.4  50
34.6  35
38.3  28
59.2  24
56.6  21
53.6  20
66.4  16

Unit cell a=7.8054 b=7.8054 c=5.8811 alpha=90.00 beta=90.00 gamma=90.00
Space group I4/mcm (No. 140)
Asymmetric unit:
1 Th 0.1532 0.3468 0.0000 (multiplicity 8)
2 Hg 0.0000 0.0000 0.2500 (multiplicity 4)